No. 1
Starting from a DFT-relaxed cell (GGA-PBE, Alexandria), the powder XRD pattern of CeTeOs was calculated for λ = 1.5418 Å (Cu Kα).
Kinematic intensities with the Lorentz-polarization factor, no thermal factor.

Peak list (10 most intense, 10 to 80 degrees two-theta, in order of rising 2θ)
2θ/deg  d (Å)  I/Imax  index
20.8  4.278  983  0 0 2
26.4  3.381  586  1 1 1
28.9  3.087  835  1 1 -1
30.9  2.895  762  1 0 -2
31.7  2.823  467  0 1 -2
35.1  2.554  1000  1 -1 0
38.1  2.361  881  1 1 3
42.3  2.139  490  0 0 4
42.5  2.127  593  0 2 1
44.2  2.051  579  2 1 1

Atomic structure:
```
data_CeTeOs
_chemical_formula_sum 'Ce2 Te2 Os2'
_cell_length_a 4.2115
_cell_length_b 4.4931
_cell_length_c 8.6556
_cell_angle_alpha 81.37
_cell_angle_beta 86.28
_cell_angle_gamma 72.18
_space_group_name_H-M_alt 'P 1'
_space_group_IT_number 1
_space_group_name_Hall 'P 1'
loop_
_atom_site_label
_atom_site_fract_x
_atom_site_fract_y
_atom_site_fract_z
_atom_site_occupancy
Ce1 0.0000 0.0000 0.0000 1
Ce2 0.3547 0.4748 0.7495 1
Te1 0.1955 0.0914 0.5084 1
Te2 0.6355 0.5860 0.2360 1
Os1 0.2643 0.2219 0.1703 1
Os2 0.7534 0.9283 0.7239 1
```

=====

No. 2
Starting from a DFT-relaxed cell (GGA-PBE, Alexandria), the powder XRD pattern of Ba3In3Ag2 was calculated for λ = 1.5418 Å (Cu Kα).
Kinematic intensities with the Lorentz-polarization factor, no thermal factor.

Peak list (10 most intense, 10 to 80 degrees two-theta, in order of rising 2θ)
2θ/deg  d (Å)  I/Imax  index
27.7  3.218  1000  1 1 4
28.9  3.084  731  1 3 1
29.8  2.997  183  0 2 5
30.8  2.904  267  0 0 6
32.5  2.758  311  1 3 3
34.2  2.621  311  0 4 3
34.3  2.613  559  2 0 0
35.3  2.544  434  1 3 4
46.6  1.950  239  2 4 0
49.2  1.850  216  2 4 3

Atomic structure:
```
data_Ba3In3Ag2
_chemical_formula_sum 'Ba12 In12 Ag8'
_cell_length_a 5.2261
_cell_length_b 11.7476
_cell_length_c 17.4242
_cell_angle_alpha 90.00
_cell_angle_beta 90.00
_cell_angle_gamma 90.00
_space_group_name_H-M_alt 'C m c m'
_space_group_IT_number 63
_space_group_name_Hall '-C 2c 2'
loop_
_atom_site_label
_atom_site_fract_x
_atom_site_fract_y
_atom_site_fract_z
_atom_site_occupancy
Ba1 0.0000 0.0929 0.1072 1
Ba2 0.0000 0.3865 0.2500 1
In1 0.0000 0.3131 0.7500 1
In2 0.0000 0.3780 0.0378 1
Ag1 0.0000 0.2049 0.5980 1
```

=====

No. 3
Starting from a DFT-relaxed cell (GGA-PBE, Alexandria), the powder XRD pattern of Dy3GaO was calculated for λ = 1.5418 Å (Cu Kα).
Kinematic intensities with the Lorentz-polarization factor, no thermal factor.

Peak list (10 most intense, 10 to 80 degrees two-theta, in order of rising 2θ)
2θ/deg  d (Å)  I/Imax  index
29.5  3.029  487  3 1 0
31.2  2.870  901  2 0 1
33.9  2.644  1000  1 3 1
34.1  2.626  420  2 4 0
35.8  2.511  617  3 3 0
37.6  2.390  432  0 4 1
38.7  2.327  313  3 1 1
42.5  2.128  327  2 4 1
50.2  1.817  272  0 0 2
59.7  1.548  421  5 3 1

Atomic structure:
```
data_Dy3GaO
_chemical_formula_sum 'Dy12 Ga4 O4'
_cell_length_a 9.3574
_cell_length_b 12.6917
_cell_length_c 3.6342
_cell_angle_alpha 90.00
_cell_angle_beta 90.00
_cell_angle_gamma 90.00
_space_group_name_H-M_alt 'C m m m'
_space_group_IT_number 65
_space_group_name_Hall '-C 2 2'
loop_
_atom_site_label
_atom_site_fract_x
_atom_site_fract_y
_atom_site_fract_z
_atom_site_occupancy
Dy1 0.0000 0.1881 0.0000 1
Dy2 0.1900 0.3690 0.5000 1
Ga1 0.0000 0.0000 0.5000 1
Ga2 0.0000 0.5000 0.0000 1
O1 0.2500 0.2500 0.0000 1
```

=====

No. 4
Starting from a DFT-relaxed cell (GGA-PBE, Alexandria), the powder XRD pattern of CrCu2GeS4 was calculated for λ = 1.5418 Å (Cu Kα).
Kinematic intensities with the Lorentz-polarization factor, no thermal factor.

Peak list (10 most intense, 10 to 80 degrees two-theta, in order of rising 2θ)
2θ/deg  d (Å)  I/Imax  index
28.9  3.089  1000  1 1 2
32.8  2.734  73  2 0 0
34.9  2.568  31  0 0 4
47.0  1.933  215  2 2 0
48.6  1.872  386  2 0 4
56.1  1.639  275  3 1 2
59.0  1.565  117  1 1 6
68.7  1.367  63  4 0 0
76.2  1.250  52  3 3 2
78.7  1.216  96  3 1 6

Atomic structure:
```
data_CrCu2GeS4
_chemical_formula_sum 'Cr2 Cu4 Ge2 S8'
_cell_length_a 5.4678
_cell_length_b 5.4678
_cell_length_c 10.2706
_cell_angle_alpha 90.00
_cell_angle_beta 90.00
_cell_angle_gamma 90.00
_space_group_name_H-M_alt 'I -4 2 m'
_space_group_IT_number 121
_space_group_name_Hall 'I -4 2'
loop_
_atom_site_label
_atom_site_fract_x
_atom_site_fract_y
_atom_site_fract_z
_atom_site_occupancy
Cr1 0.0000 0.0000 0.0000 1
Cu1 0.0000 0.5000 0.2500 1
Ge1 0.0000 0.0000 0.5000 1
S1 0.2416 0.2416 0.3731 1
```